Record 1
This entry pairs a crystal structure of SmZnGa with its theoretical powder X-ray diffraction pattern. Radiation: Cu Kα X-rays. Structure: DFT lattice parameters and positions (PBE).
Intensities are scaled so that the largest is 100.

Structure:
```
data_SmZnGa
_cell_length_a 4.4686
_cell_length_b 4.4686
_cell_length_c 7.5043
_cell_angle_alpha 90.00
_cell_angle_beta 90.00
_cell_angle_gamma 120.00
_space_group_name_H-M_alt 'P 63/m m c'
_space_group_IT_number 194
_space_group_name_Hall '-P 6c 2c'
loop_
_atom_site_label
_atom_site_fract_x
_atom_site_fract_y
_atom_site_fract_z
Sm1 0.0000 0.0000 0.0000
Zn1 0.3333 0.6667 0.2500
Ga1 0.3333 0.6667 0.7500
```

Peak list (10 most intense, 10° ≤ 2θ ≤ 80°, low angle first)
index  2θ (°)  Rel. int.
1 0 0  23.0  15
1 0 2  33.3  100
1 1 0  40.4  52
2 0 0  47.0  2
0 0 4  48.5  10
2 0 2  53.3  26
1 0 4  54.3  3
1 1 4  64.9  25
2 1 2  68.9  24
3 0 0  73.4  9

---

Record 2
This entry pairs a crystal structure of Sm2ZnGa with its theoretical powder X-ray diffraction pattern. Radiation: Cu Kα X-rays. Structure: DFT lattice parameters and positions (PBE).
Intensities are scaled so that the largest is 100.

Structure:
```
data_Sm2ZnGa
_cell_length_a 7.3106
_cell_length_b 7.3106
_cell_length_c 7.3106
_cell_angle_alpha 90.00
_cell_angle_beta 90.00
_cell_angle_gamma 90.00
_space_group_name_H-M_alt 'F m -3 m'
_space_group_IT_number 225
_space_group_name_Hall '-F 4 2 3'
loop_
_atom_site_label
_atom_site_fract_x
_atom_site_fract_y
_atom_site_fract_z
Sm1 0.2500 0.2500 0.2500
Zn1 0.0000 0.0000 0.0000
Ga1 0.0000 0.0000 0.5000
```

Peak list (8 most intense, 10° ≤ 2θ ≤ 80°, low angle first)
index  2θ (°)  Rel. int.
2 0 0  24.4  15
2 2 0  34.7  100
2 2 2  42.9  5
4 0 0  49.9  18
4 2 0  56.3  6
4 2 2  62.2  36
4 4 0  73.2  11
6 0 0  78.5  3

---

Record 3
This entry pairs a crystal structure of GaSn3 with its theoretical powder X-ray diffraction pattern. Radiation: Cu Kα X-rays. Structure: DFT lattice parameters and positions (PBE).
Intensities are scaled so that the largest is 100.

Structure:
```
data_GaSn3
_cell_length_a 7.4119
_cell_length_b 7.4119
_cell_length_c 7.4119
_cell_angle_alpha 90.00
_cell_angle_beta 90.00
_cell_angle_gamma 90.00
_space_group_name_H-M_alt 'F m -3 m'
_space_group_IT_number 225
_space_group_name_Hall '-F 4 2 3'
loop_
_atom_site_label
_atom_site_fract_x
_atom_site_fract_y
_atom_site_fract_z
Ga1 0.0000 0.0000 0.0000
Sn1 0.0000 0.0000 0.5000
Sn2 0.2500 0.2500 0.2500
```

Peak list (10 most intense, 10° ≤ 2θ ≤ 80°, low angle first)
index  2θ (°)  Rel. int.
1 1 1  20.8  3
2 0 0  24.0  1
2 2 0  34.2  100
3 1 1  40.4  2
4 0 0  49.2  18
3 3 1  53.9  1
4 2 0  55.4  1
4 2 2  61.3  38
4 4 0  72.1  12
5 3 1  76.0  1

---

Record 4
This entry pairs a crystal structure of Ga3Sn with its theoretical powder X-ray diffraction pattern. Radiation: Cu Kα X-rays. Structure: DFT lattice parameters and positions (PBE).
Intensities are scaled so that the largest is 100.

Structure:
```
data_Ga3Sn
_cell_length_a 4.6485
_cell_length_b 4.6485
_cell_length_c 8.0734
_cell_angle_alpha 90.00
_cell_angle_beta 90.00
_cell_angle_gamma 90.00
_space_group_name_H-M_alt 'I 4/m m m'
_space_group_IT_number 139
_space_group_name_Hall '-I 4 2'
loop_
_atom_site_label
_atom_site_fract_x
_atom_site_fract_y
_atom_site_fract_z
Ga1 0.0000 0.0000 0.0000
Ga2 0.0000 0.5000 0.2500
Sn1 0.0000 0.0000 0.5000
```

Peak list (10 most intense, 10° ≤ 2θ ≤ 80°, low angle first)
index  2θ (°)  Rel. int.
1 0 1  22.1  8
1 1 2  35.2  100
2 0 0  38.7  40
0 0 4  44.9  14
2 1 1  45.0  2
2 2 0  55.9  14
2 0 4  60.8  21
3 1 2  67.9  29
2 2 4  74.4  12
1 1 6  76.5  10

---

Record 5
This entry pairs a crystal structure of Ga3Sn with its theoretical powder X-ray diffraction pattern. Radiation: Cu Kα X-rays. Structure: DFT lattice parameters and positions (PBE).
Intensities are scaled so that the largest is 100.

Structure:
```
data_Ga3Sn
_cell_length_a 4.4179
_cell_length_b 4.4179
_cell_length_c 4.4179
_cell_angle_alpha 90.00
_cell_angle_beta 90.00
_cell_angle_gamma 90.00
_space_group_name_H-M_alt 'P m -3 m'
_space_group_IT_number 221
_space_group_name_Hall '-P 4 2 3'
loop_
_atom_site_label
_atom_site_fract_x
_atom_site_fract_y
_atom_site_fract_z
Ga1 0.0000 0.0000 0.5000
Sn1 0.5000 0.5000 0.5000
```

Peak list (10 most intense, 10° ≤ 2θ ≤ 80°, low angle first)
index  2θ (°)  Rel. int.
1 0 0  20.1  6
1 1 0  28.6  5
1 1 1  35.2  100
2 0 0  40.9  50
2 1 0  45.9  3
2 1 1  50.6  2
2 2 0  59.1  33
3 0 0  63.1  2
3 1 1  70.7  39
2 2 2  74.4  11

---

Record 6
This entry pairs a crystal structure of Ga3Sn with its theoretical powder X-ray diffraction pattern. Radiation: Cu Kα X-rays. Structure: DFT lattice parameters and positions (PBE).
Intensities are scaled so that the largest is 100.

Structure:
```
data_Ga3Sn
_cell_length_a 7.0365
_cell_length_b 7.0365
_cell_length_c 7.0365
_cell_angle_alpha 90.00
_cell_angle_beta 90.00
_cell_angle_gamma 90.00
_space_group_name_H-M_alt 'F m -3 m'
_space_group_IT_number 225
_space_group_name_Hall '-F 4 2 3'
loop_
_atom_site_label
_atom_site_fract_x
_atom_site_fract_y
_atom_site_fract_z
Ga1 0.0000 0.0000 0.0000
Ga2 0.2500 0.2500 0.2500
Sn1 0.0000 0.0000 0.5000
```

Peak list (10 most intense, 10° ≤ 2θ ≤ 80°, low angle first)
index  2θ (°)  Rel. int.
1 1 1  21.9  4
2 0 0  25.3  2
2 2 0  36.1  100
3 1 1  42.6  3
4 0 0  52.0  17
3 3 1  57.1  1
4 2 0  58.7  1
4 2 2  64.9  36
5 1 1  69.4  1
4 4 0  76.6  11